[1]
TiBe2Pt: calculated powder XRD pattern (Cu Kα), based on a GGA-PBE-relaxed structure.

Atomic structure:
a b c (Å): 4.0497 4.0497 4.0497
angles (deg): 60.00 60.00 60.00
Positions (direct):
Ti  0.0000  0.0000  0.0000
Be  0.2500  0.2500  0.2500
Be  0.7500  0.7500  0.7500
Pt  0.5000  0.5000  0.5000

The 10 most intense peaks (2θ from 15° to 90°), by intensity:
two_theta  Rel. int.
31.23  100
44.76  91
26.96  77
53.03  39
74.02  33
82.51  31
55.59  26
71.85  16
65.15  15
88.76  14

=====

[2]
HoMgTl: calculated powder XRD pattern (Cu Kα), based on a GGA-PBE-relaxed structure.

Atomic structure:
a b c (Å): 7.5200 7.5200 4.6856
angles (deg): 90.00 90.00 120.00
Positions (direct):
Ho  0.0000  0.5718  0.0000
Ho  0.4282  0.4282  0.0000
Ho  0.5718  0.0000  0.0000
Mg  0.0000  0.2442  0.5000
Mg  0.2442  0.0000  0.5000
Mg  0.7558  0.7558  0.5000
Tl  0.0000  0.0000  0.0000
Tl  0.3333  0.6667  0.5000
Tl  0.6667  0.3333  0.5000

The 10 most intense peaks (2θ from 15° to 90°), by intensity:
two_theta  Rel. int.
33.51  100
30.48  49
23.66  37
41.44  26
38.42  25
23.39  23
41.60  23
65.58  17
57.91  17
48.42  16